Diffraction record for Ca2Bi3Au10. The X-ray diffraction stick pattern is computed, not measured: it uses a cell relaxed with GGA-PBE and Cu Kα X-rays.
Kinematic intensities with the Lorentz-polarization factor, no thermal factor.

Largest 10 diffraction maxima, in order of falling intensity, 2θ = 5–70°:
2θ (°), I_rel
36.92, 100
38.66, 53
36.70, 34
19.05, 21
65.01, 21
65.52, 20
38.29, 18
59.40, 17
59.54, 17
44.83, 14

Structure:
```
30
Lattice="2.8492 1.6450 23.5083 -2.8492 1.6450 23.5083 0.0000 -3.2900 23.5083" Properties=species:S:1:pos:R:3 pbc="T T T"
Ca 0.0000 0.0000 0.0000
Ca 0.0000 0.0000 14.0565
Ca 0.0000 0.0000 28.1912
Ca 0.0000 0.0000 56.3884
Bi 0.0000 0.0000 3.5087
Bi 0.0000 0.0000 17.6646
Bi 0.0000 0.0000 31.6809
Bi 0.0000 0.0000 42.2497
Bi 0.0000 0.0000 45.6987
Bi 0.0000 0.0000 59.9000
Au -1.4274 -0.8241 25.2127
Au 0.0000 -1.6545 20.5641
Au -1.4329 0.8273 20.5641
Au 0.0000 0.0000 8.7895
Au -1.4245 -0.8225 39.3132
Au 0.0000 -1.6510 34.6371
Au -1.4298 0.8255 34.6371
Au 0.0000 0.0000 22.8931
Au -1.4212 -0.8205 53.4424
Au 1.4274 -0.8241 25.2127
Au 0.0000 1.6482 25.2127
Au 0.0000 0.0000 36.9866
Au 1.4329 0.8273 20.5640
Au 1.4245 -0.8224 39.3133
Au 0.0000 1.6449 39.3133
Au 0.0000 0.0000 51.1016
Au 1.4298 0.8255 34.6370
Au 1.4212 -0.8205 53.4424
Au 0.0000 1.6410 53.4424
Au 0.0000 0.0000 65.1885
```

Diffraction record for PHPbO4. The X-ray diffraction stick pattern is computed, not measured: it uses a cell relaxed with GGA-PBE and Cu Kα X-rays.
Kinematic intensities with the Lorentz-polarization factor, no thermal factor.

Largest 10 diffraction maxima, in order of falling intensity, 2θ = 5–70°:
2θ (°), I_rel
26.45, 100
28.93, 89
20.31, 66
18.65, 41
26.88, 32
30.76, 29
13.34, 28
35.48, 24
41.60, 23
41.30, 21

Structure:
```
14
Lattice="4.7895 0.0000 0.0000 0.0000 6.6349 0.0000 -0.6854 0.0000 5.8127" Properties=species:S:1:pos:R:3 pbc="T T T"
P 0.0000 1.3976 0.0000
P -0.3427 5.2372 2.9064
H -0.4730 3.2397 4.3686
H -0.1303 3.3951 1.4622
Pb 2.0760 1.3378 2.8836
Pb 1.7333 5.2970 5.7899
O 0.0384 2.2970 4.7259
O 0.3811 4.3378 1.8195
O 1.0865 0.5531 0.7058
O 0.7437 6.0818 3.6122
O 3.0585 0.5197 5.0857
O 3.4012 6.1151 2.1794
O 4.0779 2.3217 1.0327
O 3.7351 4.3132 3.9391
```

Diffraction record for Na5Bi2AsC4O16. The X-ray diffraction stick pattern is computed, not measured: it uses a cell relaxed with GGA-PBE and Cu Kα X-rays.
Kinematic intensities with the Lorentz-polarization factor, no thermal factor.

Largest 10 diffraction maxima, in order of falling intensity, 2θ = 5–70°:
2θ (°), I_rel
19.97, 100
20.77, 74
10.34, 67
19.70, 62
34.14, 61
40.01, 35
31.03, 30
31.49, 30
31.63, 29
34.46, 28

Structure:
```
56
Lattice="0.0000 7.3783 7.4990 7.3426 0.0000 7.4990 7.3426 7.3783 0.0000" Properties=species:S:1:pos:R:3 pbc="T T T"
Na 7.3426 7.3783 2.9453
Na 7.3426 2.8951 7.4990
Na 11.8002 7.3783 7.4990
Na 13.8767 11.0674 11.2484
Na 11.0139 8.1980 11.2484
Na 2.8850 7.3783 7.4990
Na 7.3426 11.8614 7.4990
Na 7.3426 7.3783 12.0526
Na 11.0139 13.9368 11.2484
Na 8.1511 11.0674 11.2484
Bi 9.2101 5.5111 9.3045
Bi 9.2101 9.2455 5.6934
Bi 5.4751 5.5111 5.6934
Bi 5.4751 9.2455 9.3045
As 0.0000 0.0000 0.0000
As 11.0139 11.0674 11.2484
C 5.1287 2.2331 5.1468
C 5.1287 5.1452 2.3522
C 2.2138 2.2331 2.3522
C 8.7407 5.9960 6.0584
C 2.2138 5.1452 5.1468
C 5.9444 8.7605 6.0584
C 8.7407 8.7605 8.9395
C 5.9444 5.9960 8.9395
O 5.9757 2.1363 4.1605
O 5.2519 4.2037 1.4729
O 3.1754 1.3536 2.2394
O 4.1672 1.3536 5.2596
O 2.0907 3.1746 1.4729
O 5.9757 5.2420 3.3385
O 13.6959 8.3705 8.5062
O 8.8278 6.9265 5.1452
O 7.8028 5.0894 5.9759
O 9.5817 5.9876 7.0397
O 5.2519 3.1746 6.0260
O 4.1672 6.0246 2.2394
O 1.3668 2.1363 3.3385
O 9.5817 8.7689 7.9582
O 5.8574 7.8300 5.1452
O 6.8824 5.0894 9.0221
O 1.3668 5.2420 4.1605
O 3.1754 6.0246 5.2596
O 2.0907 4.2037 6.0260
O 12.0664 10.0113 10.3594
O 6.8824 9.6672 5.9759
O 8.8278 7.8300 9.8528
O 5.1035 5.9876 7.9582
O 5.1035 8.7689 7.0397
O 7.8028 9.6672 9.0221
O 5.8574 6.9265 9.8528
O 9.9614 10.0113 12.1374
O 12.0664 12.1235 12.1374
O 9.9614 12.1235 10.3594
O 8.3319 13.7644 8.5062
O 8.3319 8.3705 13.9907
O 13.6959 13.7644 13.9907
```

- What is the formula in the second record?
  PHPbO4